[1]
# Y2ErFe6CoNi2
Calculated powder XRD pattern, Cu Kα (weighted mean of Kα1 and Kα2). Input: a cell relaxed with GGA-PBE.
Lines closer than 0.1° are merged.

The 10 most intense peaks (2θ from 10° to 90°), in order of rising 2θ:
2θ (°)  I (rel.)
32.8  31
35.8  25
35.9  37
41.9  28
42.4  100
44.1  16
45.8  9
64.5  15
69.0  19
76.2  16

Crystal structure
```
Y2ErFe6CoNi2
1.0
2.4990 1.4428 8.2083
-2.4990 1.4428 8.2083
0.0000 -2.8856 8.2083
Y Er Fe Co Ni
2 1 6 1 2
Direct
0.1417 0.1417 0.1417
0.8583 0.8583 0.8583
0.0000 0.0000 0.0000
0.0820 0.5819 0.5819
0.4181 0.4181 0.9180
0.4181 0.9180 0.4181
0.5819 0.0820 0.5819
0.5819 0.5819 0.0820
0.9180 0.4181 0.4181
0.5000 0.5000 0.5000
0.3327 0.3327 0.3327
0.6673 0.6673 0.6673
```

[2]
# YEr2Fe6Co2Ni
Calculated powder XRD pattern, Cu Kα (weighted mean of Kα1 and Kα2). Input: a cell relaxed with GGA-PBE.
Lines closer than 0.1° are merged.

The 10 most intense peaks (2θ from 10° to 90°), in order of rising 2θ:
2θ (°)  I (rel.)
10.9  19
32.9  43
35.8  52
36.0  30
41.8  32
42.3  100
45.9  20
64.4  19
68.9  24
75.9  20

Crystal structure
```
YEr2Fe6Co2Ni
1.0
2.5064 1.4471 8.1417
-2.5064 1.4471 8.1417
0.0000 -2.8942 8.1417
Y Er Fe Co Ni
1 2 6 2 1
Direct
0.0000 0.0000 0.0000
0.1421 0.1421 0.1421
0.8579 0.8579 0.8579
0.0795 0.5827 0.5827
0.4173 0.4173 0.9205
0.4173 0.9205 0.4173
0.5827 0.0795 0.5827
0.5827 0.5827 0.0795
0.9205 0.4173 0.4173
0.3329 0.3329 0.3329
0.6671 0.6671 0.6671
0.5000 0.5000 0.5000
```

[3]
# Y2ErFe6Co2Ni
Calculated powder XRD pattern, Cu Kα (weighted mean of Kα1 and Kα2). Input: a cell relaxed with GGA-PBE.
Lines closer than 0.1° are merged.

The 10 most intense peaks (2θ from 10° to 90°), in order of rising 2θ:
2θ (°)  I (rel.)
32.9  30
35.8  63
41.7  29
42.3  100
44.4  16
45.7  9
64.3  16
68.8  19
68.9  10
75.8  17

Crystal structure
```
Y2ErFe6Co2Ni
1.0
2.5089 1.4485 8.1643
-2.5089 1.4485 8.1643
0.0000 -2.8971 8.1643
Y Er Fe Co Ni
2 1 6 2 1
Direct
0.1417 0.1417 0.1417
0.8583 0.8583 0.8583
0.0000 0.0000 0.0000
0.0802 0.5811 0.5811
0.4189 0.4189 0.9198
0.4189 0.9198 0.4189
0.5811 0.0802 0.5811
0.5811 0.5811 0.0802
0.9198 0.4189 0.4189
0.3328 0.3328 0.3328
0.6672 0.6672 0.6672
0.5000 0.5000 0.5000
```